# 1
Starting from a structure optimized by DFT (GGA-PBE), the powder X-ray diffraction pattern of BaLi10Zn3 was computed for Cu Kα.
Intensities are scaled so that the largest is 100.

Main lines, low angle first (2θ from 10° to 90°):
22.55 deg, intensity 100; 26.10 deg, intensity 49; 29.24 deg, intensity 8; 37.24 deg, intensity 43; 43.98 deg, intensity 52; 46.04 deg, intensity 13; 58.95 deg, intensity 18; 60.64 deg, intensity 15; 67.15 deg, intensity 13; 71.83 deg, intensity 11; 83.81 deg, intensity 12; 85.27 deg, intensity 7

```
data_BaLi10Zn3
_cell_length_a 9.6575
_cell_length_b 9.6575
_cell_length_c 9.6575
_cell_angle_alpha 60.00
_cell_angle_beta 60.00
_cell_angle_gamma 60.00
_symmetry_space_group_name_H-M 'P 1'
_symmetry_Int_Tables_number 1
loop_
_symmetry_equiv_pos_as_xyz
'x,y,z'
loop_
_atom_site_label
_atom_site_fract_x
_atom_site_fract_y
_atom_site_fract_z
_atom_site_occupancy
Ba1 0.2500 0.2500 0.2500 1
Ba2 0.7500 0.7500 0.7500 1
Li1 0.0000 0.0000 0.3386 1
Li2 0.0000 0.0000 0.6614 1
Li3 0.0000 0.3386 0.0000 1
Li4 0.0000 0.3386 0.6614 1
Li5 0.0000 0.6614 0.0000 1
Li6 0.0000 0.6614 0.3386 1
Li7 0.1811 0.6063 0.6063 1
Li8 0.3386 0.0000 0.0000 1
Li9 0.3386 0.0000 0.6614 1
Li10 0.3386 0.6614 0.0000 1
Li11 0.3937 0.3937 0.3937 1
Li12 0.3937 0.3937 0.8189 1
Li13 0.3937 0.8189 0.3937 1
Li14 0.6063 0.1811 0.6063 1
Li15 0.6063 0.6063 0.1811 1
Li16 0.6063 0.6063 0.6063 1
Li17 0.6614 0.0000 0.0000 1
Li18 0.6614 0.0000 0.3386 1
Li19 0.6614 0.3386 0.0000 1
Li20 0.8189 0.3937 0.3937 1
Zn1 0.2677 0.2677 0.7323 1
Zn2 0.2677 0.7323 0.2677 1
Zn3 0.2677 0.7323 0.7323 1
Zn4 0.7323 0.2677 0.2677 1
Zn5 0.7323 0.2677 0.7323 1
Zn6 0.7323 0.7323 0.2677 1
```

***

# 2
Starting from a structure optimized by DFT (GGA-PBE), the powder X-ray diffraction pattern of CeTm7Tl4 was computed for Cu Kα.
Intensities are scaled so that the largest is 100.

Main lines, low angle first (2θ from 10° to 90°):
30.05 deg, intensity 45; 30.43 deg, intensity 40; 31.35 deg, intensity 28; 31.64 deg, intensity 100; 32.38 deg, intensity 62; 32.56 deg, intensity 21; 33.56 deg, intensity 32; 34.88 deg, intensity 88; 37.11 deg, intensity 23; 44.20 deg, intensity 32; 45.14 deg, intensity 20; 58.47 deg, intensity 20

```
data_CeTm7Tl4
_cell_length_a 7.9496
_cell_length_b 7.9496
_cell_length_c 9.6306
_cell_angle_alpha 118.84
_cell_angle_beta 118.84
_cell_angle_gamma 41.67
_symmetry_space_group_name_H-M 'P 1'
_symmetry_Int_Tables_number 1
loop_
_symmetry_equiv_pos_as_xyz
'x,y,z'
loop_
_atom_site_label
_atom_site_fract_x
_atom_site_fract_y
_atom_site_fract_z
_atom_site_occupancy
Ce1 0.0000 0.0000 0.0000 1
Tm1 0.0716 0.0716 0.4119 1
Tm2 0.2000 0.2000 0.8774 1
Tm3 0.2527 0.2527 0.2964 1
Tm4 0.5000 0.5000 0.0000 1
Tm5 0.7473 0.7473 0.7036 1
Tm6 0.8000 0.8000 0.1226 1
Tm7 0.9284 0.9284 0.5881 1
Tl1 0.3171 0.3171 0.6617 1
Tl2 0.4479 0.4479 0.2834 1
Tl3 0.5521 0.5521 0.7166 1
Tl4 0.6829 0.6829 0.3383 1
```

***

- Which formula does entry 2 have?
  CeTm7Tl4